For Sm6Ag2Rh, a cell relaxed with PBE gives the theoretical powder XRD pattern in this record (Cu Kα (weighted mean of Kα1 and Kα2)).

Top 8 peaks for 5 to 70 degrees two-theta, by angle:
two_theta	d_spacing	I (rel.)
28.27	3.157	48.6
28.57	3.125	45.2
29.16	3.063	53.8
29.76	3.002	45.7
30.70	2.912	100.0
31.64	2.828	36.8
34.63	2.590	51.1
37.98	2.369	61.2

Cell and atoms:
```
Sm6Ag2Rh
1.0
6.7627 0.0000 0.0000
0.0000 7.5917 0.0000
-6.1196 0.0000 10.3692
Sm Ag Rh
12 4 2
Direct
0.1161 0.0177 0.2502
0.1161 0.4823 0.7502
0.2126 0.6848 0.0615
0.2126 0.8152 0.5615
0.3699 0.1786 0.0511
0.3699 0.3214 0.5511
0.6301 0.6786 0.4489
0.6301 0.8214 0.9489
0.7874 0.1848 0.4385
0.7874 0.3152 0.9385
0.8839 0.5177 0.2498
0.8839 0.9823 0.7498
0.3197 0.1119 0.7545
0.3197 0.3881 0.2545
0.6803 0.6119 0.7455
0.6803 0.8881 0.2455
0.5000 0.0000 0.5000
0.5000 0.5000 0.0000
```